Diffraction record for MgFeSi2O4. The powder X-ray diffraction pattern is computed, not measured: it uses DFT lattice parameters and positions (PBE+U) and a wavelength of 1.5418 Å.
Intensities are scaled so that the largest is 100.

Cell and atoms:
a b c (Å): 2.914 9.748 8.794
angles (deg): 90.00 90.00 90.00
Fractional coordinates of all 16 atoms:
1 Mg 0.000 0.152 0.000
2 Mg 0.000 0.848 0.500
3 Fe 0.500 0.341 0.483
4 Fe 0.500 0.659 0.983
5 Si 0.000 0.375 0.828
6 Si 0.000 0.625 0.328
7 Si 0.500 0.120 0.329
8 Si 0.500 0.880 0.829
9 O 0.000 0.020 0.367
10 O 0.000 0.364 0.642
11 O 0.000 0.636 0.142
12 O 0.000 0.980 0.867
13 O 0.500 0.131 0.143
14 O 0.500 0.477 0.864
15 O 0.500 0.523 0.364
16 O 0.500 0.869 0.643

Peak list (10 most intense, 5° ≤ 2θ ≤ 70°, sorted by position)
two_theta	I/Imax
13.6	20
20.2	27
20.8	100
33.7	43
35.7	27
36.9	14
38.2	20
46.7	26
57.9	14
59.9	20